# HoCd6Cu6
Theoretical powder XRD pattern, Cu Kα (weighted mean of Kα1 and Kα2). Input: a DFT-relaxed cell (GGA-PBE, Alexandria).
Peak positions follow from Bragg's law for the DFT cell and can differ from measured ones.

Principal peaks in the range 15° ≤ 2θ ≤ 90°, in order of falling intensity:
| 2theta | I_rel |
| --- | --- |
| 38.88 | 100 |
| 33.58 | 75 |
| 39.58 | 53 |
| 38.63 | 45 |
| 44.28 | 36 |
| 70.57 | 29 |
| 70.07 | 27 |
| 34.37 | 27 |
| 43.43 | 22 |
| 64.58 | 21 |

Atomic structure:
abc: 7.0882 7.0882 7.0882
angles: 136.80 97.87 97.71
Positions (direct):
Ho 0.0000 0.0000 0.0000
Cd 0.1883 0.5000 0.6883
Cd 0.3377 0.3377 0.0000
Cd 0.3448 0.0000 0.3448
Cd 0.6552 0.0000 0.6552
Cd 0.6623 0.6623 0.0000
Cd 0.8117 0.5000 0.3117
Cu 0.0000 0.0000 0.5000
Cu 0.0000 0.5000 0.0000
Cu 0.2275 0.7275 0.5000
Cu 0.5000 0.0000 0.0000
Cu 0.5000 0.5000 0.5000
Cu 0.7725 0.2725 0.5000